Diffraction record for CeThSbSe. The PXRD pattern is theoretical, not measured: it uses a DFT-relaxed cell (PBE, Alexandria) and Cu Kα (λ = 1.5418 Å).
Neutral-atom scattering factors, no anomalous dispersion.

Cell and atoms:
a b c (Å): 4.3460 4.3460 6.1949
angles (deg): 90.00 90.00 90.00
Fractional coordinates of all 4 atoms:
1 Ce 0.0000 0.0000 0.0000
2 Th 0.5000 0.5000 0.5000
3 Sb 0.5000 0.5000 0.0000
4 Se 0.0000 0.0000 0.5000

Peak list (8 most intense, 15° ≤ 2θ ≤ 90°, most intense first)
2θ/deg, I/Imax, hkl
29.06, 100, 1 1 0
41.39, 77, 1 1 2
28.82, 51, 0 0 2
51.36, 41, 2 0 2
41.56, 38, 2 0 0
75.71, 26, 3 1 2
25.03, 23, 1 0 1
67.75, 18, 1 1 4